Record 1
Starting from DFT lattice parameters and positions (PBE), the X-ray powder pattern of Na3HfGaSiP2O12 was computed for Cu Kα (weighted mean of Kα1 and Kα2).
Intensities are scaled so that the largest is 100.

Atomic structure:
Unit cell a=8.971 b=8.971 c=8.930 alpha=119.44 beta=119.44 gamma=59.44
Fractional coordinates of all 40 atoms:
1 Na 0.074 0.926 0.500
2 Na 0.221 0.418 0.972
3 Na 0.337 0.792 0.203
4 Na 0.418 0.221 0.472
5 Na 0.792 0.337 0.703
6 Na 0.926 0.074 0.000
7 Hf 0.468 0.954 0.649
8 Hf 0.954 0.468 0.149
9 Ga 0.179 0.661 0.772
10 Ga 0.661 0.179 0.272
11 Si 0.361 0.559 0.456
12 Si 0.559 0.361 0.956
13 P 0.056 0.278 0.471
14 P 0.278 0.056 0.971
15 P 0.778 0.864 0.471
16 P 0.864 0.778 0.971
17 O 0.020 0.310 0.297
18 O 0.039 0.758 0.957
19 O 0.096 0.438 0.642
20 O 0.097 0.228 0.973
21 O 0.189 0.518 0.272
22 O 0.228 0.097 0.473
23 O 0.239 0.901 0.958
24 O 0.310 0.020 0.797
25 O 0.310 0.599 0.627
26 O 0.376 0.740 0.469
27 O 0.377 0.546 0.950
28 O 0.438 0.096 0.142
29 O 0.518 0.189 0.772
30 O 0.546 0.377 0.450
31 O 0.592 0.888 0.469
32 O 0.599 0.310 0.127
33 O 0.698 0.816 0.803
34 O 0.740 0.376 0.969
35 O 0.758 0.039 0.457
36 O 0.816 0.698 0.303
37 O 0.833 0.939 0.145
38 O 0.888 0.592 0.969
39 O 0.901 0.239 0.458
40 O 0.939 0.833 0.645

Principal peaks in the range 2θ = 10–90°, in order of rising 2θ:
Position (°2θ)  I_rel
14.05  46
19.68  77
19.82  100
28.32  39
31.18  36
31.71  45
34.51  37
34.83  64

=====

Record 2
Starting from DFT lattice parameters and positions (PBE), the X-ray powder pattern of NaPrHfGaO6 was computed for Cu Kα (weighted mean of Kα1 and Kα2).
Intensities are scaled so that the largest is 100.

Atomic structure:
Unit cell a=5.652 b=5.652 c=5.652 alpha=60.00 beta=60.00 gamma=60.00
Fractional coordinates of all 10 atoms:
1 Na 0.000 0.000 0.000
2 Pr 0.500 0.500 0.500
3 Hf 0.750 0.750 0.750
4 Ga 0.250 0.250 0.250
5 O 0.005 0.005 0.495
6 O 0.005 0.495 0.005
7 O 0.005 0.495 0.495
8 O 0.495 0.005 0.005
9 O 0.495 0.005 0.495
10 O 0.495 0.495 0.005

Principal peaks in the range 2θ = 10–90°, in order of rising 2θ:
Position (°2θ)  I_rel
19.23  36
22.24  12
31.66  100
37.31  22
45.38  33
56.39  40
66.12  20
75.17  17